Calculated powder XRD pattern of KVPbO4 for Cu Kα (λ = 1.5418 Å), from a DFT-relaxed cell (GGA+U, Alexandria).
Neutral-atom scattering factors, no anomalous dispersion.

Peak list (10 most intense, 2θ from 10° to 80°, in order of rising 2θ)
- 2θ 12.66, rel. 100.0
- 2θ 20.67, rel. 51.3
- 2θ 21.49, rel. 32.7
- 2θ 28.76, rel. 51.4
- 2θ 29.02, rel. 35.6
- 2θ 29.77, rel. 18.2
- 2θ 31.75, rel. 40.7
- 2θ 36.87, rel. 34.7
- 2θ 39.00, rel. 20.7
- 2θ 42.05, rel. 17.9

Cell and atoms:
```
data_KVPbO4
_space_group_name_H-M_alt 'P 1 21/m 1'
_space_group_IT_number 11
_space_group_name_Hall '-P 2yb'
_cell_length_a 6.3779
_cell_length_b 6.1545
_cell_length_c 7.4278
_cell_angle_alpha 90.00
_cell_angle_beta 109.76
_cell_angle_gamma 90.00
loop_
_atom_site_label
_atom_site_fract_x
_atom_site_fract_y
_atom_site_fract_z
K1 0.2083 0.2500 0.4548
V1 0.2350 0.7500 0.1925
Pb1 0.2950 0.2500 0.9946
O1 0.0513 0.7500 0.9554
O2 0.0727 0.7500 0.3356
O3 0.4073 0.5180 0.2312
```